For Ac2GaBPt6, a crystal structure in Alexandria, relaxed with GGA-PBE gives the theoretical powder diffractogram in this record (λ = 1.5418 Å (Cu Kα)).

Cell and atoms:
Cell lengths 6.0228, 6.0228, 10.7017 Å; angles 90.00, 90.00, 90.00 degrees
Space group I4mm (No. 107)
One atom of each set of equivalent atoms:
Ac 0.0000 0.5000 0.0000 [4 per cell]
Ga 0.0000 0.0000 0.3437 [2 per cell]
B 0.0000 0.0000 0.8542 [2 per cell]
Pt 0.0000 0.0000 0.0552 [2 per cell]
Pt 0.0000 0.0000 0.5683 [2 per cell]
Pt 0.2332 0.2332 0.7515 [8 per cell]

Most intense lines, 10° ≤ 2θ ≤ 80°, by angle:
| index | 2theta | Rel. int. |
| --- | --- | --- |
| 0 0 4 | 33.5 | 19 |
| 2 0 2 | 34.2 | 100 |
| 1 1 4 | 39.8 | 13 |
| 2 2 0 | 42.5 | 36 |
| 2 2 4 | 55.1 | 18 |
| 2 0 6 | 60.3 | 11 |
| 4 0 0 | 61.6 | 12 |
| 4 2 2 | 72.4 | 22 |